# Dy3Tm3CuTc2
Calculated X-ray diffraction stick pattern, λ = 1.5418 Å (Cu Kα). Input: a structure optimized by DFT (GGA-PBE).
Intensities are scaled so that the largest is 100.

Principal peaks in the range 2θ from 15° to 90°, sorted by position:
- 2θ 32.41, rel. 100.0
- 2θ 34.24, rel. 52.3
- 2θ 34.97, rel. 63.5
- 2θ 39.00, rel. 34.0
- 2θ 47.63, rel. 18.0
- 2θ 59.96, rel. 21.0
- 2θ 63.19, rel. 16.2
- 2θ 63.38, rel. 29.1

Structural model:
Cell lengths 8.0004, 8.0004, 3.8186 Å; angles 90.00, 90.00, 120.00 degrees
Fractional coordinates of all 9 atoms:
Dy (0.0000, 0.7353, 0.0000)
Dy (0.2647, 0.2647, 0.0000)
Dy (0.7353, 0.0000, 0.0000)
Tm (0.0000, 0.4067, 0.5000)
Tm (0.4067, 0.0000, 0.5000)
Tm (0.5933, 0.5933, 0.5000)
Cu (0.0000, 0.0000, 0.5000)
Tc (0.3333, 0.6667, 0.0000)
Tc (0.6667, 0.3333, 0.0000)



# Dy7Cu3Te12
Calculated X-ray diffraction stick pattern, λ = 1.5418 Å (Cu Kα). Input: a structure optimized by DFT (GGA-PBE).
Intensities are scaled so that the largest is 100.

Principal peaks in the range 2θ from 15° to 90°, sorted by position:
- 2θ 27.96, rel. 100.0
- 2θ 31.88, rel. 23.4
- 2θ 38.26, rel. 13.8
- 2θ 41.55, rel. 37.0
- 2θ 41.57, rel. 18.5
- 2θ 43.76, rel. 15.1
- 2θ 50.83, rel. 19.1
- 2θ 67.66, rel. 13.3

Structural model:
Cell lengths 7.5262, 7.5271, 14.2622 Å; angles 80.03, 85.10, 60.02 degrees
Fractional coordinates of all 22 atoms:
Dy (0.0000, 0.0000, 0.0000)
Dy (0.0017, 0.4142, 0.7435)
Dy (0.0061, 0.8220, 0.4914)
Dy (0.3314, 0.1702, 0.4914)
Dy (0.3394, 0.3187, 0.9997)
Dy (0.6691, 0.6583, 0.9998)
Dy (0.6742, 0.4958, 0.4909)
Cu (0.3349, 0.5480, 0.3328)
Cu (0.3375, 0.9375, 0.1719)
Cu (0.6725, 0.2661, 0.1720)
Te (0.0035, 0.2905, 0.1316)
Te (0.0038, 0.1192, 0.6200)
Te (0.0047, 0.6988, 0.8741)
Te (0.3285, 0.6153, 0.1313)
Te (0.3345, 0.0332, 0.8719)
Te (0.3372, 0.8766, 0.3639)
Te (0.3392, 0.4530, 0.6214)
Te (0.6684, 0.3698, 0.8719)
Te (0.6694, 0.7881, 0.6199)
Te (0.6756, 0.1986, 0.3640)
Te (0.6785, 0.9408, 0.1300)
Te (0.9978, 0.5386, 0.3627)



# Dy3ThCu4
Calculated X-ray diffraction stick pattern, λ = 1.5418 Å (Cu Kα). Input: a structure optimized by DFT (GGA-PBE).
Intensities are scaled so that the largest is 100.

Principal peaks in the range 2θ from 15° to 90°, sorted by position:
- 2θ 25.46, rel. 23.2
- 2θ 36.31, rel. 100.0
- 2θ 44.87, rel. 7.2
- 2θ 52.30, rel. 17.5
- 2θ 59.04, rel. 10.1
- 2θ 65.33, rel. 35.2
- 2θ 77.11, rel. 10.9
- 2θ 88.34, rel. 15.8

Structural model:
Cell lengths 4.9482, 4.9482, 6.9962 Å; angles 90.00, 90.00, 90.00 degrees
Fractional coordinates of all 8 atoms:
Dy (0.0000, 0.0000, 0.0000)
Dy (0.0000, 0.0000, 0.5000)
Dy (0.5000, 0.5000, 0.0000)
Th (0.5000, 0.5000, 0.5000)
Cu (0.0000, 0.5000, 0.2446)
Cu (0.0000, 0.5000, 0.7554)
Cu (0.5000, 0.0000, 0.2446)
Cu (0.5000, 0.0000, 0.7554)



# Dy5TlCu
Calculated X-ray diffraction stick pattern, λ = 1.5418 Å (Cu Kα). Input: a structure optimized by DFT (GGA-PBE).
Intensities are scaled so that the largest is 100.

Principal peaks in the range 2θ from 15° to 90°, sorted by position:
- 2θ 26.61, rel. 35.2
- 2θ 27.60, rel. 24.9
- 2θ 31.31, rel. 42.0
- 2θ 31.58, rel. 100.0
- 2θ 31.77, rel. 57.8
- 2θ 32.33, rel. 74.4
- 2θ 32.94, rel. 47.2
- 2θ 36.67, rel. 57.3

Structural model:
Cell lengths 6.4702, 6.4702, 11.3718 Å; angles 104.38, 104.38, 61.72 degrees
Fractional coordinates of all 14 atoms:
Dy (0.0290, 0.9710, 0.7500)
Dy (0.0671, 0.3906, 0.6402)
Dy (0.2180, 0.5196, 0.9469)
Dy (0.3906, 0.0671, 0.1402)
Dy (0.4804, 0.7820, 0.5531)
Dy (0.5196, 0.2180, 0.4469)
Dy (0.6094, 0.9329, 0.8598)
Dy (0.7820, 0.4804, 0.0531)
Dy (0.9329, 0.6094, 0.3598)
Dy (0.9710, 0.0290, 0.2500)
Tl (0.4498, 0.5502, 0.2500)
Tl (0.5502, 0.4498, 0.7500)
Cu (0.0000, 0.0000, 0.0000)
Cu (0.0000, 0.0000, 0.5000)



# Dy4TmCu4
Calculated X-ray diffraction stick pattern, λ = 1.5418 Å (Cu Kα). Input: a structure optimized by DFT (GGA-PBE).
Intensities are scaled so that the largest is 100.

Principal peaks in the range 2θ from 15° to 90°, sorted by position:
- 2θ 27.79, rel. 77.6
- 2θ 32.13, rel. 45.2
- 2θ 33.09, rel. 100.0
- 2θ 38.56, rel. 33.5
- 2θ 47.49, rel. 34.2
- 2θ 49.29, rel. 28.3
- 2θ 54.03, rel. 17.5
- 2θ 55.92, rel. 25.5

Structural model:
Cell lengths 8.5620, 8.5620, 5.8922 Å; angles 90.00, 90.00, 90.00 degrees
Fractional coordinates of all 18 atoms:
Dy (0.0527, 0.6640, 0.1500)
Dy (0.1640, 0.9473, 0.6500)
Dy (0.3360, 0.5527, 0.6500)
Dy (0.4473, 0.8360, 0.1500)
Dy (0.5527, 0.1640, 0.8500)
Dy (0.6640, 0.4473, 0.3500)
Dy (0.8360, 0.0527, 0.3500)
Dy (0.9473, 0.3360, 0.8500)
Tm (0.2500, 0.2500, 0.2500)
Tm (0.7500, 0.7500, 0.7500)
Cu (0.0207, 0.6217, 0.6261)
Cu (0.1217, 0.9793, 0.1261)
Cu (0.3783, 0.5207, 0.1261)
Cu (0.4793, 0.8783, 0.6261)
Cu (0.5207, 0.1217, 0.3739)
Cu (0.6217, 0.4793, 0.8739)
Cu (0.8783, 0.0207, 0.8739)
Cu (0.9793, 0.3783, 0.3739)



# Dy2Tm3Cu3
Calculated X-ray diffraction stick pattern, λ = 1.5418 Å (Cu Kα). Input: a structure optimized by DFT (GGA-PBE).
Intensities are scaled so that the largest is 100.

Principal peaks in the range 2θ from 15° to 90°, sorted by position:
- 2θ 25.81, rel. 9.3
- 2θ 27.91, rel. 19.3
- 2θ 34.67, rel. 13.1
- 2θ 35.73, rel. 100.0
- 2θ 50.61, rel. 8.9
- 2θ 52.25, rel. 7.6
- 2θ 64.17, rel. 18.2
- 2θ 64.89, rel. 7.8

Structural model:
Cell lengths 10.7942, 10.7942, 10.7942 Å; angles 161.33, 153.05, 32.99 degrees
Fractional coordinates of all 8 atoms:
Dy (0.2256, 0.2256, 0.0000)
Dy (0.7744, 0.7744, 0.0000)
Tm (0.0000, 0.0000, 0.0000)
Tm (0.3849, 0.8849, 0.5000)
Tm (0.6151, 0.1151, 0.5000)
Cu (0.1130, 0.6130, 0.5000)
Cu (0.5000, 0.5000, 0.0000)
Cu (0.8870, 0.3870, 0.5000)



# Dy4TmCu5
Calculated X-ray diffraction stick pattern, λ = 1.5418 Å (Cu Kα). Input: a structure optimized by DFT (GGA-PBE).
Intensities are scaled so that the largest is 100.

Principal peaks in the range 2θ from 15° to 90°, sorted by position:
- 2θ 25.53, rel. 10.1
- 2θ 25.91, rel. 19.5
- 2θ 36.69, rel. 100.0
- 2θ 36.96, rel. 49.1
- 2θ 53.27, rel. 16.9
- 2θ 65.89, rel. 17.4
- 2θ 66.43, rel. 34.2
- 2θ 78.02, rel. 10.6

Structural model:
Cell lengths 3.4392, 3.4392, 17.4478 Å; angles 90.00, 90.00, 90.00 degrees
Fractional coordinates of all 10 atoms:
Dy (0.0000, 0.0000, 0.1004)
Dy (0.0000, 0.0000, 0.3016)
Dy (0.0000, 0.0000, 0.6984)
Dy (0.0000, 0.0000, 0.8996)
Tm (0.0000, 0.0000, 0.5000)
Cu (0.5000, 0.5000, 0.0000)
Cu (0.5000, 0.5000, 0.2009)
Cu (0.5000, 0.5000, 0.4035)
Cu (0.5000, 0.5000, 0.5965)
Cu (0.5000, 0.5000, 0.7991)



# DyTm2Cu
Calculated X-ray diffraction stick pattern, λ = 1.5418 Å (Cu Kα). Input: a structure optimized by DFT (GGA-PBE).
Intensities are scaled so that the largest is 100.

Principal peaks in the range 2θ from 15° to 90°, sorted by position:
- 2θ 28.00, rel. 25.3
- 2θ 28.74, rel. 18.7
- 2θ 31.22, rel. 44.2
- 2θ 32.63, rel. 100.0
- 2θ 36.15, rel. 26.8
- 2θ 42.80, rel. 22.2
- 2θ 50.60, rel. 46.8
- 2θ 58.82, rel. 19.6

Structural model:
Cell lengths 9.7830, 9.7830, 9.7830 Å; angles 21.26, 21.26, 21.26 degrees
Fractional coordinates of all 4 atoms:
Dy (0.0000, 0.0000, 0.0000)
Tm (0.2347, 0.2347, 0.2347)
Tm (0.4340, 0.4340, 0.4340)
Cu (0.8349, 0.8349, 0.8349)



# Dy3Tm3Cu4
Calculated X-ray diffraction stick pattern, λ = 1.5418 Å (Cu Kα). Input: a structure optimized by DFT (GGA-PBE).
Intensities are scaled so that the largest is 100.

Principal peaks in the range 2θ from 15° to 90°, sorted by position:
- 2θ 33.31, rel. 100.0
- 2θ 35.17, rel. 92.7
- 2θ 35.36, rel. 93.5
- 2θ 36.03, rel. 60.6
- 2θ 36.31, rel. 58.8
- 2θ 49.37, rel. 30.6
- 2θ 62.62, rel. 24.0
- 2θ 62.80, rel. 23.6

Structural model:
Cell lengths 3.6918, 7.8548, 7.8548 Å; angles 90.71, 90.00, 90.00 degrees
Fractional coordinates of all 10 atoms:
Dy (0.0000, 0.0000, 0.0000)
Dy (0.0000, 0.4939, 0.8237)
Dy (0.0000, 0.8237, 0.4939)
Tm (0.0000, 0.3298, 0.3298)
Tm (0.5000, 0.1580, 0.6605)
Tm (0.5000, 0.6605, 0.1580)
Cu (0.5000, 0.0438, 0.2875)
Cu (0.5000, 0.2875, 0.0438)
Cu (0.5000, 0.5370, 0.5370)
Cu (0.5000, 0.7842, 0.7842)



# DyTm2Cu9
Calculated X-ray diffraction stick pattern, λ = 1.5418 Å (Cu Kα). Input: a structure optimized by DFT (GGA-PBE).
Intensities are scaled so that the largest is 100.

Principal peaks in the range 2θ from 15° to 90°, sorted by position:
- 2θ 32.30, rel. 47.0
- 2θ 34.99, rel. 52.3
- 2θ 35.28, rel. 33.9
- 2θ 40.79, rel. 37.9
- 2θ 41.42, rel. 100.0
- 2θ 61.07, rel. 15.5
- 2θ 67.15, rel. 22.7
- 2θ 73.91, rel. 21.6

Structural model:
Cell lengths 8.7889, 8.7889, 8.7889 Å; angles 33.93, 33.93, 33.93 degrees
Fractional coordinates of all 12 atoms:
Dy (0.0000, 0.0000, 0.0000)
Tm (0.1412, 0.1412, 0.1412)
Tm (0.8588, 0.8588, 0.8588)
Cu (0.0819, 0.5829, 0.5829)
Cu (0.3325, 0.3325, 0.3325)
Cu (0.4171, 0.4171, 0.9181)
Cu (0.4171, 0.9181, 0.4171)
Cu (0.5000, 0.5000, 0.5000)
Cu (0.5829, 0.0819, 0.5829)
Cu (0.5829, 0.5829, 0.0819)
Cu (0.6675, 0.6675, 0.6675)
Cu (0.9181, 0.4171, 0.4171)



# DyYCu4
Calculated X-ray diffraction stick pattern, λ = 1.5418 Å (Cu Kα). Input: a structure optimized by DFT (GGA-PBE).
Intensities are scaled so that the largest is 100.

Principal peaks in the range 2θ from 15° to 90°, sorted by position:
- 2θ 34.74, rel. 41.1
- 2θ 35.70, rel. 100.0
- 2θ 35.87, rel. 40.4
- 2θ 41.40, rel. 19.9
- 2θ 42.12, rel. 34.8
- 2θ 42.56, rel. 48.9
- 2θ 56.49, rel. 21.2
- 2θ 69.27, rel. 18.9

Structural model:
Cell lengths 5.4578, 5.4578, 5.4578 Å; angles 133.70, 102.22, 95.58 degrees
Fractional coordinates of all 6 atoms:
Dy (0.0000, 0.0000, 0.0000)
Y (0.5881, 0.0881, 0.5000)
Cu (0.0110, 0.7084, 0.3027)
Cu (0.1810, 0.3790, 0.8020)
Cu (0.4057, 0.7084, 0.6973)
Cu (0.5770, 0.3790, 0.1980)



# Dy2YCu4
Calculated X-ray diffraction stick pattern, λ = 1.5418 Å (Cu Kα). Input: a structure optimized by DFT (GGA-PBE).
Intensities are scaled so that the largest is 100.

Principal peaks in the range 2θ from 15° to 90°, sorted by position:
- 2θ 15.46, rel. 22.2
- 2θ 29.20, rel. 94.4
- 2θ 35.14, rel. 100.0
- 2θ 40.16, rel. 86.7
- 2θ 46.31, rel. 35.6
- 2θ 50.54, rel. 34.8
- 2θ 66.44, rel. 36.8
- 2θ 70.77, rel. 22.2

Structural model:
Cell lengths 6.7755, 6.7755, 6.7755 Å; angles 135.71, 135.71, 64.42 degrees
Fractional coordinates of all 7 atoms:
Dy (0.2115, 0.2115, 0.0000)
Dy (0.7885, 0.7885, 0.0000)
Y (0.5000, 0.5000, 0.0000)
Cu (0.1190, 0.6190, 0.5000)
Cu (0.3810, 0.8810, 0.5000)
Cu (0.6190, 0.1190, 0.5000)
Cu (0.8810, 0.3810, 0.5000)